Diffraction record for CsIBr3. The powder diffraction line list is theoretical, not measured: it uses a DFT-relaxed cell (GGA-PBE, Alexandria) and Cu Kα, 1.54184 Å.
Peak positions follow from Bragg's law for the DFT cell and can differ from measured ones.

Atomic structure:
```
CsIBr3
1.0
-4.3267 4.3267 6.2240
4.3267 -4.3267 6.2240
4.3267 4.3267 -6.2240
Cs I Br
2 2 6
direct
0.2500 0.7500 0.5000
0.7500 0.2500 0.5000
0.0000 0.0000 0.0000
0.5000 0.5000 0.0000
0.2185 0.2185 0.0000
0.2756 0.2756 0.5513
0.2756 0.7244 0.0000
0.7244 0.2756 0.0000
0.7244 0.7244 0.4487
0.7815 0.7815 0.0000
```

Largest 10 diffraction maxima, by angle, 10 to 80 degrees two-theta:
d = 4.363 Å, 20.35°, rel. 69.7
d = 4.327 Å, 20.53°, rel. 33.4
d = 3.553 Å, 25.07°, rel. 70.5
d = 3.112 Å, 28.69°, rel. 50.6
d = 3.059 Å, 29.19°, rel. 100.0
d = 2.505 Å, 35.85°, rel. 27.1
d = 2.182 Å, 41.39°, rel. 68.5
d = 2.163 Å, 41.75°, rel. 34.6
d = 1.937 Å, 46.92°, rel. 20.5
d = 1.776 Å, 51.44°, rel. 33.4



Diffraction record for Cs5I4Br. The powder diffraction line list is theoretical, not measured: it uses a DFT-relaxed cell (GGA-PBE, Alexandria) and Cu Kα, 1.54184 Å.
Peak positions follow from Bragg's law for the DFT cell and can differ from measured ones.

Atomic structure:
```
Cs5I4Br
1.0
-2.7225 3.8765 13.7690
2.7225 -3.8765 13.7690
2.7225 3.8765 -13.7690
Cs I Br
5 4 1
direct
0.0000 0.0000 0.0000
0.2011 0.2011 0.0000
0.4072 0.4072 0.0000
0.5928 0.5928 0.0000
0.7989 0.7989 0.0000
0.0996 0.5996 0.5000
0.3031 0.8031 0.5000
0.6969 0.1969 0.5000
0.9004 0.4004 0.5000
0.5000 0.0000 0.5000
```

Largest 10 diffraction maxima, by angle, 10 to 80 degrees two-theta:
d = 3.874 Å, 22.96°, rel. 100.0
d = 2.754 Å, 32.51°, rel. 13.0
d = 2.740 Å, 32.69°, rel. 53.4
d = 2.722 Å, 32.90°, rel. 13.3
d = 2.245 Å, 40.17°, rel. 14.4
d = 2.228 Å, 40.49°, rel. 14.9
d = 1.937 Å, 46.91°, rel. 14.0
d = 1.733 Å, 52.84°, rel. 26.3
d = 1.586 Å, 58.15°, rel. 13.9
d = 1.575 Å, 58.61°, rel. 9.8



Diffraction record for CsIBr3. The powder diffraction line list is theoretical, not measured: it uses a DFT-relaxed cell (GGA-PBE, Alexandria) and Cu Kα, 1.54184 Å.
Peak positions follow from Bragg's law for the DFT cell and can differ from measured ones.

Atomic structure:
```
CsIBr3
1.0
10.4333 0.0000 0.0000
0.0000 8.4751 0.0000
-6.9132 0.0000 10.0303
Cs I Br
4 4 12
direct
0.1833 0.2464 0.1220
0.1833 0.2536 0.6220
0.8167 0.7464 0.3780
0.8167 0.7536 0.8780
0.2960 0.7070 0.3694
0.2960 0.7930 0.8694
0.7040 0.2070 0.1306
0.7040 0.2930 0.6306
0.0033 0.5775 0.2181
0.0033 0.9225 0.7181
0.2820 0.7283 0.6145
0.2820 0.7717 0.1145
0.4061 0.1992 0.4820
0.4061 0.3008 0.9820
0.5939 0.6992 0.0180
0.5939 0.8008 0.5180
0.7180 0.2283 0.8855
0.7180 0.2717 0.3855
0.9967 0.0775 0.2819
0.9967 0.4225 0.7819
```

Largest 10 diffraction maxima, by angle, 10 to 80 degrees two-theta:
d = 4.316 Å, 20.58°, rel. 31.4
d = 4.239 Å, 20.96°, rel. 100.0
d = 3.897 Å, 22.82°, rel. 40.0
d = 3.214 Å, 27.76°, rel. 56.4
d = 3.045 Å, 29.33°, rel. 47.8
d = 3.017 Å, 29.61°, rel. 50.2
d = 2.865 Å, 31.21°, rel. 57.8
d = 2.473 Å, 36.33°, rel. 27.9
d = 2.158 Å, 41.86°, rel. 28.3
d = 2.082 Å, 43.46°, rel. 31.8



Diffraction record for CsI3Br. The powder diffraction line list is theoretical, not measured: it uses a DFT-relaxed cell (GGA-PBE, Alexandria) and Cu Kα, 1.54184 Å.
Peak positions follow from Bragg's law for the DFT cell and can differ from measured ones.

Atomic structure:
```
CsI3Br
1.0
-4.4036 4.4036 6.3762
4.4036 -4.4036 6.3762
4.4036 4.4036 -6.3762
Cs I Br
2 6 2
direct
0.2500 0.7500 0.5000
0.7500 0.2500 0.5000
0.2184 0.2184 0.0000
0.2716 0.2716 0.5432
0.2716 0.7284 0.0000
0.7284 0.2716 0.0000
0.7284 0.7284 0.4568
0.7816 0.7816 0.0000
0.0000 0.0000 0.0000
0.5000 0.5000 0.0000
```

Largest 10 diffraction maxima, by angle, 10 to 80 degrees two-theta:
d = 4.455 Å, 19.93°, rel. 10.4
d = 3.623 Å, 24.57°, rel. 100.0
d = 3.188 Å, 27.99°, rel. 33.3
d = 3.114 Å, 28.67°, rel. 67.1
d = 2.228 Å, 40.49°, rel. 45.4
d = 2.202 Å, 40.99°, rel. 23.5
d = 1.914 Å, 47.50°, rel. 11.3
d = 1.882 Å, 48.37°, rel. 26.1
d = 1.812 Å, 50.37°, rel. 22.3
d = 1.276 Å, 74.33°, rel. 13.2



Diffraction record for Cs2I2Br3. The powder diffraction line list is theoretical, not measured: it uses a DFT-relaxed cell (GGA-PBE, Alexandria) and Cu Kα, 1.54184 Å.
Peak positions follow from Bragg's law for the DFT cell and can differ from measured ones.

Atomic structure:
```
Cs2I2Br3
1.0
11.0347 -2.7059 0.0000
11.0347 2.7059 0.0000
-1.9909 0.0000 6.5120
Cs I Br
2 2 3
direct
0.1289 0.1289 0.0056
0.8711 0.8711 0.9944
0.4030 0.4030 0.6006
0.5970 0.5970 0.3994
0.3031 0.3031 0.2137
0.5000 0.5000 0.0000
0.6969 0.6969 0.7863
```

Largest 10 diffraction maxima, by angle, 10 to 80 degrees two-theta:
d = 5.276 Å, 16.80°, rel. 39.8
d = 4.237 Å, 20.97°, rel. 46.4
d = 3.917 Å, 22.70°, rel. 100.0
d = 3.287 Å, 27.13°, rel. 62.6
d = 2.774 Å, 32.27°, rel. 21.5
d = 2.720 Å, 32.92°, rel. 27.5
d = 2.706 Å, 33.11°, rel. 39.5
d = 2.426 Å, 37.06°, rel. 28.6
d = 2.396 Å, 37.54°, rel. 33.6
d = 1.806 Å, 50.53°, rel. 24.7



Diffraction record for Cs2I7Br. The powder diffraction line list is theoretical, not measured: it uses a DFT-relaxed cell (GGA-PBE, Alexandria) and Cu Kα, 1.54184 Å.
Peak positions follow from Bragg's law for the DFT cell and can differ from measured ones.

Atomic structure:
```
Cs2I7Br
1.0
-4.5312 4.5312 6.4044
4.5312 -4.5312 6.4044
4.5312 4.5312 -6.4044
Cs I Br
2 7 1
direct
0.2500 0.7500 0.5000
0.7500 0.2500 0.5000
0.0000 0.0000 0.0000
0.2307 0.2307 0.4613
0.2307 0.7693 0.0000
0.2820 0.2820 0.0000
0.7180 0.7180 0.0000
0.7693 0.2307 0.0000
0.7693 0.7693 0.5387
0.5000 0.5000 0.0000
```

Largest 10 diffraction maxima, by angle, 10 to 80 degrees two-theta:
d = 6.407 Å, 13.82°, rel. 17.4
d = 4.530 Å, 19.60°, rel. 19.8
d = 3.699 Å, 24.06°, rel. 82.8
d = 3.203 Å, 27.85°, rel. 100.0
d = 2.265 Å, 39.79°, rel. 70.0
d = 2.166 Å, 41.70°, rel. 11.7
d = 1.932 Å, 47.04°, rel. 31.7
d = 1.850 Å, 49.27°, rel. 23.0
d = 1.433 Å, 65.11°, rel. 26.2
d = 1.308 Å, 72.24°, rel. 17.7



Diffraction record for Cs4IBr3. The powder diffraction line list is theoretical, not measured: it uses a DFT-relaxed cell (GGA-PBE, Alexandria) and Cu Kα, 1.54184 Å.
Peak positions follow from Bragg's law for the DFT cell and can differ from measured ones.

Atomic structure:
```
Cs4IBr3
1.0
-3.7514 3.7514 7.4802
3.7514 -3.7514 7.4802
3.7514 3.7514 -7.4802
Cs I Br
4 1 3
direct
0.0000 0.5000 0.5000
0.2398 0.2398 0.0000
0.5000 0.0000 0.5000
0.7602 0.7602 0.0000
0.5000 0.5000 0.0000
0.0000 0.0000 0.0000
0.2500 0.7500 0.5000
0.7500 0.2500 0.5000
```

Largest 10 diffraction maxima, by angle, 10 to 80 degrees two-theta:
d = 3.748 Å, 23.74°, rel. 100.0
d = 2.650 Å, 33.83°, rel. 78.9
d = 2.164 Å, 41.75°, rel. 28.8
d = 1.876 Å, 48.54°, rel. 9.4
d = 1.677 Å, 54.73°, rel. 26.1
d = 1.674 Å, 54.85°, rel. 12.1
d = 1.531 Å, 60.48°, rel. 19.1
d = 1.528 Å, 60.58°, rel. 9.0
d = 1.250 Å, 76.14°, rel. 7.4
d = 1.249 Å, 76.24°, rel. 9.3



Diffraction record for Cs3IBr2. The powder diffraction line list is theoretical, not measured: it uses a DFT-relaxed cell (GGA-PBE, Alexandria) and Cu Kα, 1.54184 Å.
Peak positions follow from Bragg's law for the DFT cell and can differ from measured ones.

Atomic structure:
```
Cs3IBr2
1.0
4.6375 -7.9751 0.0000
4.6375 7.9751 0.0000
-3.0427 0.0000 8.6323
Cs I Br
6 2 4
direct
0.0000 0.5000 0.5000
0.1389 0.3199 0.9997
0.3199 0.1389 0.4997
0.5000 0.0000 0.0000
0.6801 0.8611 0.5003
0.8611 0.6801 0.0003
0.4218 0.5782 0.7500
0.5782 0.4218 0.2500
0.0839 0.9161 0.7500
0.2537 0.7463 0.2500
0.7463 0.2537 0.7500
0.9161 0.0839 0.2500
```

Largest 10 diffraction maxima, by angle, 10 to 80 degrees two-theta:
d = 3.761 Å, 23.66°, rel. 100.0
d = 2.673 Å, 33.53°, rel. 25.6
d = 2.660 Å, 33.70°, rel. 26.2
d = 2.646 Å, 33.88°, rel. 26.2
d = 2.171 Å, 41.61°, rel. 14.1
d = 2.158 Å, 41.86°, rel. 7.3
d = 1.881 Å, 48.40°, rel. 13.3
d = 1.689 Å, 54.33°, rel. 11.6
d = 1.682 Å, 54.55°, rel. 12.4
d = 1.675 Å, 54.80°, rel. 12.5



Diffraction record for Cs5I2Br3. The powder diffraction line list is theoretical, not measured: it uses a DFT-relaxed cell (GGA-PBE, Alexandria) and Cu Kα, 1.54184 Å.
Peak positions follow from Bragg's law for the DFT cell and can differ from measured ones.

Atomic structure:
```
Cs5I2Br3
1.0
9.5733 -2.5967 0.0000
9.5733 2.5967 0.0000
-8.1560 0.0000 11.0925
Cs I Br
5 2 3
direct
0.0000 0.0000 0.0000
0.0911 0.0911 0.4117
0.2963 0.2963 0.1922
0.7037 0.7037 0.8078
0.9089 0.9089 0.5883
0.3289 0.3289 0.7309
0.6711 0.6711 0.2691
0.1141 0.1141 0.8751
0.5000 0.5000 0.5000
0.8859 0.8859 0.1249
```

Largest 10 diffraction maxima, by angle, 10 to 80 degrees two-theta:
d = 3.896 Å, 22.82°, rel. 100.0
d = 3.654 Å, 24.36°, rel. 16.1
d = 3.603 Å, 24.71°, rel. 66.5
d = 3.415 Å, 26.09°, rel. 16.0
d = 2.944 Å, 30.36°, rel. 53.9
d = 2.652 Å, 33.79°, rel. 29.5
d = 2.639 Å, 33.97°, rel. 30.7
d = 2.597 Å, 34.54°, rel. 32.0
d = 2.107 Å, 42.93°, rel. 29.7
d = 1.948 Å, 46.62°, rel. 19.8



Diffraction record for CsLiIBr. The powder diffraction line list is theoretical, not measured: it uses a DFT-relaxed cell (GGA-PBE, Alexandria) and Cu Kα, 1.54184 Å.
Peak positions follow from Bragg's law for the DFT cell and can differ from measured ones.

Atomic structure:
```
CsLiIBr
1.0
5.5650 0.0000 0.0000
0.0000 5.5650 0.0000
0.0000 0.0000 10.2633
Cs Li I Br
2 2 2 2
direct
0.2500 0.2500 0.1925
0.7500 0.7500 0.8075
0.2500 0.2500 0.5979
0.7500 0.7500 0.4021
0.2500 0.7500 0.5000
0.7500 0.2500 0.5000
0.2500 0.2500 0.8397
0.7500 0.7500 0.1603
```

Largest 10 diffraction maxima, by angle, 10 to 80 degrees two-theta:
d = 3.674 Å, 24.22°, rel. 100.0
d = 3.421 Å, 26.05°, rel. 48.0
d = 3.123 Å, 28.59°, rel. 96.7
d = 2.782 Å, 32.17°, rel. 63.1
d = 2.159 Å, 41.85°, rel. 52.8
d = 1.968 Å, 46.14°, rel. 22.7
d = 1.820 Å, 50.12°, rel. 24.2
d = 1.734 Å, 52.78°, rel. 23.0
d = 1.706 Å, 53.74°, rel. 25.1
d = 1.665 Å, 55.18°, rel. 29.8



Diffraction record for Cs2MnI2Br2. The powder diffraction line list is theoretical, not measured: it uses a DFT-relaxed cell (GGA-PBE, Alexandria) and Cu Kα, 1.54184 Å.
Peak positions follow from Bragg's law for the DFT cell and can differ from measured ones.

Atomic structure:
```
Cs2MnI2Br2
1.0
8.7919 -2.3266 0.0000
8.7919 2.3266 0.0000
-3.7213 0.0000 7.1869
Cs Mn I Br
2 1 2 2
direct
0.1596 0.1596 0.1599
0.8404 0.8404 0.8401
0.0000 0.0000 0.5000
0.4997 0.4997 0.2538
0.5003 0.5003 0.7462
0.1657 0.1657 0.6647
0.8343 0.8343 0.3353
```

Largest 10 diffraction maxima, by angle, 10 to 80 degrees two-theta:
d = 3.592 Å, 24.79°, rel. 45.6
d = 3.469 Å, 25.68°, rel. 99.3
d = 2.997 Å, 29.81°, rel. 100.0
d = 2.809 Å, 31.86°, rel. 35.0
d = 2.602 Å, 34.46°, rel. 31.4
d = 2.327 Å, 38.70°, rel. 23.2
d = 2.183 Å, 41.35°, rel. 30.6
d = 1.953 Å, 46.50°, rel. 16.0
d = 1.801 Å, 50.68°, rel. 27.1
d = 1.735 Å, 52.78°, rel. 18.1



Diffraction record for CsMnI2Br. The powder diffraction line list is theoretical, not measured: it uses a DFT-relaxed cell (GGA-PBE, Alexandria) and Cu Kα, 1.54184 Å.
Peak positions follow from Bragg's law for the DFT cell and can differ from measured ones.

Atomic structure:
```
CsMnI2Br
1.0
-3.8826 3.8826 6.7395
3.8826 -3.8826 6.7395
3.8826 3.8826 -6.7395
Cs Mn I Br
2 2 4 2
direct
0.0000 0.5000 0.5000
0.5000 0.0000 0.5000
0.2981 0.2981 0.0000
0.7981 0.7981 0.0000
0.0498 0.5498 0.1056
0.4442 0.9442 0.8944
0.5498 0.4442 0.5000
0.9442 0.0498 0.5000
0.4829 0.4829 0.0000
0.9829 0.9829 0.0000
```

Largest 10 diffraction maxima, by angle, 10 to 80 degrees two-theta:
d = 4.257 Å, 20.87°, rel. 5.8
d = 3.365 Å, 26.49°, rel. 100.0
d = 2.746 Å, 32.61°, rel. 33.0
d = 2.307 Å, 39.04°, rel. 8.8
d = 2.129 Å, 42.47°, rel. 23.8
d = 1.944 Å, 46.74°, rel. 22.1
d = 1.865 Å, 48.83°, rel. 9.4
d = 1.737 Å, 52.70°, rel. 10.2
d = 1.683 Å, 54.52°, rel. 10.0
d = 1.544 Å, 59.92°, rel. 7.2



Diffraction record for Cs2MoIBr5. The powder diffraction line list is theoretical, not measured: it uses a DFT-relaxed cell (GGA-PBE, Alexandria) and Cu Kα, 1.54184 Å.
Peak positions follow from Bragg's law for the DFT cell and can differ from measured ones.

Atomic structure:
```
Cs2MoIBr5
1.0
-3.9844 3.9844 5.5013
3.9844 -3.9844 5.5013
3.9844 3.9844 -5.5013
Cs Mo I Br
2 1 1 5
direct
0.0000 0.5000 0.5000
0.5000 0.0000 0.5000
0.2501 0.2501 0.0000
0.9976 0.9976 0.0000
0.0213 0.0213 0.5441
0.0213 0.4772 0.0000
0.4772 0.0213 0.0000
0.4772 0.4772 0.4559
0.4835 0.4835 0.0000
```

Largest 10 diffraction maxima, by angle, 10 to 80 degrees two-theta:
d = 6.454 Å, 13.72°, rel. 27.9
d = 3.984 Å, 22.31°, rel. 11.2
d = 3.227 Å, 27.64°, rel. 100.0
d = 2.817 Å, 31.76°, rel. 56.0
d = 2.751 Å, 32.55°, rel. 27.3
d = 1.992 Å, 45.53°, rel. 19.0
d = 1.968 Å, 46.12°, rel. 38.2
d = 1.695 Å, 54.10°, rel. 25.9
d = 1.666 Å, 55.13°, rel. 13.6
d = 1.613 Å, 57.08°, rel. 18.9



Diffraction record for Cs2I6BrN. The powder diffraction line list is theoretical, not measured: it uses a DFT-relaxed cell (GGA-PBE, Alexandria) and Cu Kα, 1.54184 Å.
Peak positions follow from Bragg's law for the DFT cell and can differ from measured ones.

Atomic structure:
```
Cs2I6BrN
1.0
-4.1556 4.1556 5.5960
4.1556 -4.1556 5.5960
4.1556 4.1556 -5.5960
Cs I Br N
2 6 1 1
direct
0.2500 0.7500 0.5000
0.7500 0.2500 0.5000
0.2231 0.2231 0.4463
0.2231 0.7769 0.0000
0.2307 0.2307 0.0000
0.7693 0.7693 0.0000
0.7769 0.2231 0.0000
0.7769 0.7769 0.5537
0.5000 0.5000 0.0000
0.0000 0.0000 0.0000
```

Largest 10 diffraction maxima, by angle, 10 to 80 degrees two-theta:
d = 3.336 Å, 26.72°, rel. 100.0
d = 2.938 Å, 30.42°, rel. 51.2
d = 2.798 Å, 31.99°, rel. 23.5
d = 2.633 Å, 34.05°, rel. 7.8
d = 2.078 Å, 43.56°, rel. 16.8
d = 2.026 Å, 44.72°, rel. 32.8
d = 1.764 Å, 51.84°, rel. 24.6
d = 1.702 Å, 53.87°, rel. 12.3
d = 1.668 Å, 55.05°, rel. 15.7
d = 1.317 Å, 71.69°, rel. 8.1